(1)
Calculated X-ray diffraction stick pattern of Li5Mn3Sb2O10 for a wavelength of 1.5418 Å, from a GGA+U-relaxed structure.
Lines closer than 0.1° are merged.

Structural model:
```
Li5Mn3Sb2O10
1.0
5.3851 0.0000 0.0000
2.6826 7.8668 0.0000
1.9574 2.9341 10.3249
Li Mn Sb O
10 6 4 20
Direct
0.0000 0.0000 0.0000
0.0047 0.0096 0.4946
0.0113 0.1668 0.6847
0.0183 0.1567 0.2015
0.4632 0.9129 0.6183
0.4849 0.8872 0.1296
0.9583 0.6330 0.5485
0.9698 0.7933 0.7516
0.9791 0.8052 0.2549
0.9913 0.5962 0.0770
0.4779 0.5069 0.2184
0.4805 0.5108 0.7166
0.4832 0.2865 0.5320
0.4886 0.2879 0.0361
0.9852 0.3981 0.8773
0.9924 0.3900 0.3768
0.4594 0.7009 0.4219
0.4676 0.7057 0.9217
0.5043 0.0948 0.8288
0.5106 0.0959 0.3229
0.2190 0.1563 0.5159
0.2196 0.3715 0.1888
0.2268 0.7440 0.5836
0.2381 0.9095 0.3027
0.2398 0.5740 0.8894
0.2434 0.7500 0.0801
0.2482 0.5463 0.4041
0.2593 0.1488 0.9846
0.2648 0.3185 0.7223
0.2744 0.9461 0.8077
0.6900 0.8385 0.4487
0.6960 0.8548 0.9424
0.6991 0.4810 0.5357
0.7070 0.4843 0.0311
0.7107 0.6461 0.2664
0.7145 0.6481 0.7670
0.7284 0.2348 0.8537
0.7296 0.0504 0.6701
0.7514 0.2314 0.3575
0.7541 0.0540 0.1533
```

Most intense lines, 5° ≤ 2θ ≤ 70°, by angle:
2θ 17.2, intensity 530; 2θ 17.5, intensity 1000; 2θ 21.4, intensity 301; 2θ 25.0, intensity 296; 2θ 28.4, intensity 186; 2θ 33.0, intensity 188; 2θ 33.5, intensity 348; 2θ 40.0, intensity 446; 2θ 40.9, intensity 465; 2θ 41.0, intensity 436

(2)
Calculated X-ray diffraction stick pattern of Li3Mn2SbO6 for a wavelength of 1.5418 Å, from a GGA+U-relaxed structure.
Lines closer than 0.1° are merged.

Structural model:
```
Li3Mn2SbO6
1.0
2.7210 -4.7188 0.0000
2.7210 4.7188 0.0000
-1.8236 0.0000 4.9799
Li Mn Sb O
3 2 1 6
Direct
0.0000 0.0000 0.0000
0.3439 0.6561 0.0000
0.6561 0.3439 0.0000
0.1676 0.8324 0.5000
0.8324 0.1676 0.5000
0.5000 0.5000 0.5000
0.1179 0.4228 0.2636
0.2697 0.2697 0.7295
0.4228 0.1179 0.2636
0.5772 0.8821 0.7364
0.7303 0.7303 0.2705
0.8821 0.5772 0.7364
```

Most intense lines, 5° ≤ 2θ ≤ 70°, by angle:
2θ 17.8, intensity 1000; 2θ 19.8, intensity 163; 2θ 33.5, intensity 543; 2θ 35.1, intensity 237; 2θ 41.0, intensity 776; 2θ 45.0, intensity 204; 2θ 54.6, intensity 168; 2θ 58.7, intensity 227; 2θ 60.0, intensity 142; 2θ 61.9, intensity 185

(3)
Calculated X-ray diffraction stick pattern of LiMn2SbO6 for a wavelength of 1.5418 Å, from a GGA+U-relaxed structure.
Lines closer than 0.1° are merged.

Structural model:
```
LiMn2SbO6
1.0
2.5892 1.4949 4.8617
-2.5892 1.4949 4.8617
0.0000 -2.9897 4.8617
Li Mn Sb O
1 2 1 6
Direct
0.0000 0.0000 0.0000
0.2727 0.2727 0.2727
0.7876 0.7876 0.7876
0.4729 0.4729 0.4729
0.0627 0.6715 0.4211
0.1824 0.5767 0.8562
0.4211 0.0627 0.6715
0.5767 0.8562 0.1824
0.6715 0.4211 0.0627
0.8562 0.1824 0.5767
```

Most intense lines, 5° ≤ 2θ ≤ 70°, by angle:
2θ 18.2, intensity 649; 2θ 20.7, intensity 1000; 2θ 23.3, intensity 526; 2θ 31.6, intensity 763; 2θ 34.6, intensity 750; 2θ 36.8, intensity 274; 2θ 39.4, intensity 581; 2θ 47.6, intensity 304; 2θ 51.6, intensity 747; 2θ 62.1, intensity 327

(4)
Calculated X-ray diffraction stick pattern of Li4Mn3SbO8 for a wavelength of 1.5418 Å, from a GGA+U-relaxed structure.
Lines closer than 0.1° are merged.

Structural model:
```
Li4Mn3SbO8
1.0
6.1720 0.0000 0.0000
0.0000 6.3167 0.0000
-5.9380 0.0000 8.5669
Li Mn Sb O
8 6 2 16
Direct
0.0000 0.0054 0.0000
0.0000 0.9946 0.5000
0.0394 0.4658 0.5049
0.0394 0.5342 0.0049
0.5060 0.3048 0.2467
0.5060 0.6952 0.7467
0.5121 0.2292 0.7553
0.5121 0.7708 0.2553
0.0123 0.2447 0.2497
0.0123 0.7553 0.7497
0.5083 0.0044 0.5039
0.5083 0.9956 0.0039
0.5182 0.4976 0.0016
0.5182 0.5024 0.5016
0.0119 0.2579 0.7550
0.0119 0.7421 0.2550
0.2385 0.2575 0.9915
0.2385 0.7425 0.4915
0.2417 0.4828 0.7472
0.2417 0.5172 0.2472
0.2515 0.0269 0.7642
0.2515 0.9731 0.2642
0.2880 0.2294 0.4998
0.2880 0.7706 0.9998
0.7265 0.2151 0.0052
0.7265 0.7849 0.5052
0.7689 0.0299 0.7441
0.7689 0.9701 0.2441
0.7861 0.4886 0.7591
0.7861 0.5114 0.2591
0.7877 0.2564 0.5180
0.7877 0.7436 0.0180
```

Most intense lines, 5° ≤ 2θ ≤ 70°, by angle:
2θ 17.5, intensity 206; 2θ 17.9, intensity 1000; 2θ 33.4, intensity 351; 2θ 34.2, intensity 179; 2θ 35.3, intensity 212; 2θ 40.9, intensity 516; 2θ 42.2, intensity 244; 2θ 45.6, intensity 135; 2θ 59.6, intensity 147; 2θ 60.9, intensity 135